Starting from a GGA-PBE-relaxed structure, the powder XRD pattern of YIn2Hg2 was computed for Cu Kα.
No peak broadening, texture or thermal motion is included.

Top 10 peaks for 10 to 90 degrees two-theta, by intensity:
hkl 1 1 0, 35.11 deg, I 1000; hkl 1 0 3, 29.43 deg, I 578; hkl 3 0 0, 62.96 deg, I 239; hkl 1 0 5, 41.47 deg, I 172; hkl 1 1 8, 70.67 deg, I 168; hkl 2 0 3, 46.43 deg, I 168; hkl 2 1 3, 59.50 deg, I 160; hkl 1 0 1, 21.28 deg, I 157; hkl 2 0 4, 50.51 deg, I 111; hkl 2 0 5, 55.41 deg, I 88

Structure:
Unit cell a=5.115 b=5.115 c=12.496 alpha=90.00 beta=90.00 gamma=120.00
Element x y z (fractional)
Y 0.000 0.000 0.250
Y 0.000 0.000 0.750
In 0.000 0.000 0.000
In 0.000 0.000 0.500
In 0.333 0.667 0.250
In 0.667 0.333 0.750
Hg 0.333 0.667 0.619
Hg 0.333 0.667 0.881
Hg 0.667 0.333 0.119
Hg 0.667 0.333 0.381